No. 1
Computed powder XRD pattern
Compound: Ba2Cd4Hg5
Radiation: CuKα
Structure: a cell relaxed with PBE
Intensities are scaled so that the largest is 100.

```
Ba2Cd4Hg5
1.0
-3.2313 4.9134 5.0650
3.2313 -4.9134 5.0650
3.2313 4.9134 -5.0650
Ba Cd Hg
2 4 5
Direct
0.2242 0.0000 0.2242
0.7758 0.0000 0.7758
0.0962 0.3430 0.7531
0.4101 0.6570 0.7531
0.5899 0.3430 0.2469
0.9038 0.6570 0.2469
0.0000 0.5000 0.5000
0.3097 0.0486 0.7389
0.3097 0.5707 0.2611
0.6903 0.4293 0.7389
0.6903 0.9514 0.2611
```

Principal peaks in the range 10° ≤ 2θ ≤ 80°, in order of rising 2θ:
| Position (°2θ) | I/Imax |
| --- | --- |
| 27.94 | 87 |
| 30.43 | 41 |
| 32.88 | 45 |
| 33.18 | 100 |
| 35.11 | 92 |
| 36.58 | 63 |
| 37.76 | 42 |
| 54.28 | 44 |



No. 2
Computed powder XRD pattern
Compound: Ba3CdHg2
Radiation: CuKα
Structure: a cell relaxed with PBE
Intensities are scaled so that the largest is 100.

```
Ba3CdHg2
1.0
4.2339 0.0000 0.0000
0.0000 4.2339 0.0000
0.0000 0.0000 12.6238
Ba Cd Hg
3 1 2
Direct
0.0000 0.0000 0.0000
0.0000 0.0000 0.3297
0.0000 0.0000 0.6703
0.5000 0.5000 0.5000
0.5000 0.5000 0.1665
0.5000 0.5000 0.8335
```

Principal peaks in the range 10° ≤ 2θ ≤ 80°, in order of rising 2θ:
| Position (°2θ) | I/Imax |
| --- | --- |
| 29.91 | 100 |
| 42.71 | 13 |
| 42.99 | 6 |
| 53.04 | 27 |
| 53.21 | 13 |
| 62.21 | 8 |
| 70.34 | 12 |
| 70.76 | 6 |



No. 3
Computed powder XRD pattern
Compound: Ba4CdHg3
Radiation: CuKα
Structure: a cell relaxed with PBE
Intensities are scaled so that the largest is 100.

```
Ba4CdHg3
1.0
18.0093 0.0000 0.0000
0.0000 5.9506 0.0000
-1.9624 0.0000 5.6212
Ba Cd Hg
8 2 6
Direct
0.1261 0.0000 0.1261
0.1260 0.5000 0.6261
0.3740 0.0000 0.3739
0.3739 0.5000 0.8739
0.6260 0.0000 0.6261
0.6261 0.5000 0.1261
0.8739 0.0000 0.8739
0.8740 0.5000 0.3739
0.0000 0.0000 0.5000
0.5000 0.5000 0.5000
0.0000 0.5000 0.0000
0.2491 0.0000 0.7491
0.2509 0.5000 0.2509
0.5000 0.0000 0.0000
0.7491 0.5000 0.7491
0.7509 0.0000 0.2509
```

Principal peaks in the range 10° ≤ 2θ ≤ 80°, in order of rising 2θ:
| Position (°2θ) | I/Imax |
| --- | --- |
| 29.87 | 100 |
| 30.03 | 49 |
| 42.54 | 10 |
| 42.98 | 19 |
| 52.94 | 20 |
| 53.22 | 40 |
| 62.06 | 13 |
| 70.73 | 13 |



No. 4
Computed powder XRD pattern
Compound: BaCd2Hg
Radiation: CuKα
Structure: a cell relaxed with PBE
Intensities are scaled so that the largest is 100.

```
BaCd2Hg
1.0
4.8738 0.0000 0.0000
0.0000 4.9238 0.0000
0.0000 0.0000 5.3372
Ba Cd Hg
1 2 1
Direct
0.0000 0.0000 0.0000
0.0000 0.5000 0.5000
0.5000 0.0000 0.5000
0.5000 0.5000 0.0000
```

Principal peaks in the range 10° ≤ 2θ ≤ 80°, in order of rising 2θ:
| Position (°2θ) | I/Imax |
| --- | --- |
| 30.77 | 100 |
| 33.58 | 20 |
| 36.50 | 16 |
| 36.88 | 15 |
| 50.43 | 12 |
| 58.31 | 16 |
| 62.16 | 13 |
| 62.68 | 13 |



No. 5
Computed powder XRD pattern
Compound: BaCd6Hg2
Radiation: CuKα
Structure: a cell relaxed with PBE
Intensities are scaled so that the largest is 100.

```
BaCd6Hg2
1.0
4.6016 0.0000 0.0000
0.0000 4.6016 0.0000
0.0000 0.0000 11.0944
Ba Cd Hg
1 6 2
Direct
0.0000 0.0000 0.0000
0.0000 0.0000 0.5000
0.0000 0.5000 0.3055
0.0000 0.5000 0.6945
0.5000 0.0000 0.3055
0.5000 0.0000 0.6945
0.5000 0.5000 0.5000
0.5000 0.5000 0.1347
0.5000 0.5000 0.8653
```

Principal peaks in the range 10° ≤ 2θ ≤ 80°, in order of rising 2θ:
| Position (°2θ) | I/Imax |
| --- | --- |
| 28.59 | 30 |
| 31.02 | 49 |
| 31.89 | 96 |
| 36.79 | 100 |
| 37.87 | 37 |
| 39.15 | 92 |
| 56.57 | 31 |
| 69.41 | 30 |



No. 6
Computed powder XRD pattern
Compound: Ba2Cd9Hg3
Radiation: CuKα
Structure: a cell relaxed with PBE
Intensities are scaled so that the largest is 100.

```
Ba2Cd9Hg3
1.0
7.8054 -4.6500 0.0000
7.8054 4.6500 0.0000
0.0000 0.0000 10.2747
Ba Cd Hg
4 18 6
Direct
0.0025 0.3110 0.2500
0.3110 0.0025 0.7500
0.6890 0.9975 0.2500
0.9975 0.6890 0.7500
0.0324 0.6456 0.0941
0.0324 0.6456 0.4059
0.1607 0.8393 0.2500
0.3405 0.6595 0.5394
0.3405 0.6595 0.9606
0.3544 0.9676 0.0941
0.3544 0.9676 0.4059
0.3695 0.4385 0.2500
0.4385 0.3695 0.7500
0.5615 0.6305 0.2500
0.6305 0.5615 0.7500
0.6456 0.0324 0.5941
0.6456 0.0324 0.9059
0.6595 0.3405 0.0394
0.6595 0.3405 0.4606
0.8393 0.1607 0.7500
0.9676 0.3544 0.5941
0.9676 0.3544 0.9059
0.0000 0.0000 0.0000
0.0000 0.0000 0.5000
0.3037 0.3037 0.0000
0.3037 0.3037 0.5000
0.6963 0.6963 0.0000
0.6963 0.6963 0.5000
```

Principal peaks in the range 10° ≤ 2θ ≤ 80°, in order of rising 2θ:
| Position (°2θ) | I/Imax |
| --- | --- |
| 26.19 | 33 |
| 32.75 | 85 |
| 33.65 | 100 |
| 34.27 | 37 |
| 34.47 | 40 |
| 34.96 | 61 |
| 38.06 | 40 |
| 40.08 | 35 |



No. 7
Computed powder XRD pattern
Compound: Ba2Cd12Hg7
Radiation: CuKα
Structure: a cell relaxed with PBE
Intensities are scaled so that the largest is 100.

```
Ba2Cd12Hg7
1.0
11.7106 0.0000 0.0000
-5.8553 10.1417 0.0000
0.0000 0.0000 4.6922
Ba Cd Hg
2 12 7
Direct
0.3333 0.6667 0.2360
0.6667 0.3333 0.7640
0.0431 0.4306 0.7620
0.1130 0.2577 0.2088
0.1447 0.8870 0.2088
0.2577 0.1447 0.7912
0.3875 0.9569 0.7620
0.4306 0.3875 0.2380
0.5694 0.6125 0.7620
0.6125 0.0431 0.2380
0.7423 0.8553 0.2088
0.8553 0.1130 0.7912
0.8870 0.7423 0.7912
0.9569 0.5694 0.2380
0.0000 0.0000 0.5000
0.1312 0.7156 0.7211
0.2844 0.4156 0.7211
0.4156 0.1312 0.2789
0.5844 0.8688 0.7211
0.7156 0.5844 0.2789
0.8688 0.2844 0.2789
```

Principal peaks in the range 10° ≤ 2θ ≤ 80°, in order of rising 2θ:
| Position (°2θ) | I/Imax |
| --- | --- |
| 23.20 | 25 |
| 30.10 | 100 |
| 32.65 | 27 |
| 37.27 | 50 |
| 38.37 | 25 |
| 40.77 | 46 |
| 57.22 | 22 |
| 64.31 | 23 |



No. 8
Computed powder XRD pattern
Compound: BaCd5Hg6
Radiation: CuKα
Structure: a cell relaxed with PBE
Intensities are scaled so that the largest is 100.

```
BaCd5Hg6
1.0
4.6740 -7.7557 0.0000
4.6740 7.7557 0.0000
-3.0273 0.0000 4.4369
Ba Cd Hg
1 5 6
Direct
0.0000 0.0000 0.0000
0.1569 0.8431 0.5000
0.3205 0.6795 0.0000
0.5000 0.5000 0.5000
0.6795 0.3205 0.0000
0.8431 0.1569 0.5000
0.1012 0.4527 0.2781
0.2872 0.2872 0.7850
0.4527 0.1012 0.2781
0.5473 0.8988 0.7219
0.7128 0.7128 0.2150
0.8988 0.5473 0.7219
```

Principal peaks in the range 10° ≤ 2θ ≤ 80°, in order of rising 2θ:
| Position (°2θ) | I/Imax |
| --- | --- |
| 23.89 | 10 |
| 33.30 | 100 |
| 33.58 | 62 |
| 34.70 | 29 |
| 47.07 | 9 |
| 48.90 | 22 |
| 59.36 | 17 |
| 59.98 | 12 |



No. 9
Computed powder XRD pattern
Compound: Ba3Cd2Hg
Radiation: CuKα
Structure: a cell relaxed with PBE
Intensities are scaled so that the largest is 100.

```
Ba3Cd2Hg
1.0
4.2496 0.0000 0.0000
0.0000 4.2496 0.0000
0.0000 0.0000 12.6856
Ba Cd Hg
3 2 1
Direct
0.0000 0.0000 0.0000
0.0000 0.0000 0.3367
0.0000 0.0000 0.6633
0.5000 0.5000 0.1667
0.5000 0.5000 0.8333
0.5000 0.5000 0.5000
```

Principal peaks in the range 10° ≤ 2θ ≤ 80°, in order of rising 2θ:
| Position (°2θ) | I/Imax |
| --- | --- |
| 29.78 | 100 |
| 42.55 | 13 |
| 42.77 | 6 |
| 52.81 | 26 |
| 52.95 | 13 |
| 61.91 | 8 |
| 70.03 | 11 |
| 70.38 | 6 |



No. 10
Computed powder XRD pattern
Compound: Ba2Cd7Hg12
Radiation: CuKα
Structure: a cell relaxed with PBE
Intensities are scaled so that the largest is 100.

```
Ba2Cd7Hg12
1.0
11.3396 0.0000 0.0000
-5.6698 9.8204 0.0000
0.0000 0.0000 5.1862
Ba Cd Hg
2 7 12
Direct
0.3333 0.6667 0.2849
0.6667 0.3333 0.7151
0.0000 0.0000 0.0000
0.1184 0.7292 0.8181
0.2708 0.3891 0.8181
0.3891 0.1184 0.1819
0.6109 0.8816 0.8181
0.7292 0.6109 0.1819
0.8816 0.2708 0.1819
0.0520 0.4491 0.7311
0.1279 0.8703 0.3160
0.1297 0.2576 0.3160
0.2576 0.1279 0.6840
0.3972 0.9480 0.7311
0.4491 0.3972 0.2689
0.5509 0.6028 0.7311
0.6028 0.0520 0.2689
0.7424 0.8721 0.3160
0.8703 0.7424 0.6840
0.8721 0.1297 0.6840
0.9480 0.5509 0.2689
```

Principal peaks in the range 10° ≤ 2θ ≤ 80°, in order of rising 2θ:
| Position (°2θ) | I/Imax |
| --- | --- |
| 29.60 | 100 |
| 31.56 | 13 |
| 34.59 | 20 |
| 37.29 | 38 |
| 40.02 | 19 |
| 42.17 | 14 |
| 58.95 | 13 |
| 68.41 | 12 |



No. 11
Computed powder XRD pattern
Compound: BaCd6Hg6
Radiation: CuKα
Structure: a cell relaxed with PBE
Intensities are scaled so that the largest is 100.

```
BaCd6Hg6
1.0
3.1085 -5.3018 0.0000
3.1085 5.3018 0.0000
0.0000 0.0000 10.2158
Ba Cd Hg
1 6 6
Direct
0.0000 0.0000 0.0000
0.0000 0.5000 0.2513
0.0000 0.5000 0.7487
0.5000 0.0000 0.2513
0.5000 0.0000 0.7487
0.5000 0.5000 0.2586
0.5000 0.5000 0.7414
0.0000 0.0000 0.3546
0.0000 0.0000 0.6454
0.3272 0.6728 0.5000
0.3356 0.6644 0.0000
0.6644 0.3356 0.0000
0.6728 0.3272 0.5000
```

Principal peaks in the range 10° ≤ 2θ ≤ 80°, in order of rising 2θ:
| Position (°2θ) | I/Imax |
| --- | --- |
| 28.72 | 42 |
| 29.06 | 81 |
| 33.77 | 68 |
| 34.05 | 100 |
| 37.89 | 77 |
| 38.25 | 34 |
| 39.09 | 66 |
| 60.24 | 35 |



No. 12
Computed powder XRD pattern
Compound: Ba4CdHg
Radiation: CuKα
Structure: a cell relaxed with PBE
Intensities are scaled so that the largest is 100.

```
Ba4CdHg
1.0
4.2876 0.0000 0.0000
0.0000 4.2876 0.0000
0.0000 0.0000 15.1517
Ba Cd Hg
4 1 1
Direct
0.0000 0.0000 0.1302
0.0000 0.0000 0.8698
0.5000 0.5000 0.3663
0.5000 0.5000 0.6337
0.0000 0.0000 0.5000
0.5000 0.5000 0.0000
```

Principal peaks in the range 10° ≤ 2θ ≤ 80°, in order of rising 2θ:
| Position (°2θ) | I/Imax |
| --- | --- |
| 11.68 | 23 |
| 27.28 | 100 |
| 29.46 | 54 |
| 36.30 | 31 |
| 42.15 | 21 |
| 50.94 | 36 |
| 56.82 | 17 |
| 57.36 | 15 |